Starting from a cell relaxed with PBE+U, the X-ray powder pattern of Mn3Cr3Co2O16 was simulated for Cu Kα (λ = 1.5418 Å).
Kinematic intensities with the Lorentz-polarization factor, no thermal factor.

Cell and atoms:
```
Mn3Cr3Co2O16
1.0
5.009 -2.910 0.000
5.009 2.910 0.000
-0.051 0.000 8.641
Mn Cr Co O
3 3 2 16
direct
0.000 0.000 0.000
0.167 0.661 0.503
0.661 0.167 0.503
0.498 0.997 0.010
0.665 0.665 0.513
0.997 0.498 0.010
0.158 0.158 0.728
0.495 0.495 0.230
0.002 0.002 0.610
0.157 0.157 0.120
0.172 0.655 0.109
0.298 0.298 0.872
0.301 0.876 0.868
0.351 0.351 0.368
0.356 0.777 0.369
0.487 0.996 0.610
0.491 0.491 0.618
0.652 0.652 0.104
0.655 0.172 0.109
0.777 0.356 0.369
0.833 0.833 0.396
0.833 0.833 0.898
0.876 0.301 0.868
0.996 0.487 0.610
```

Most intense lines, 10 to 90 degrees two-theta, low angle first:
d [Å]  Rel. int.
4.348  100.0
4.321  68.8
3.278  31.8
2.503  19.1
2.415  49.6
2.411  27.1
2.401  24.3
2.172  21.6
1.897  28.8
1.448  25.4